Diffraction record for Cs2SnH6O12. The powder diffractogram is calculated, not measured: it uses a PBE-relaxed structure and a wavelength of 1.5418 Å.

Most intense lines, 10° ≤ 2θ ≤ 90°, low angle first:
two_theta  I/Imax  index
17.39  34  0 0 1
21.77  29  1 0 1
22.62  75  1 1 0
28.67  100  1 1 1
31.60  45  0 2 1
37.67  26  1 0 2
39.71  33  3 0 0
43.65  22  0 3 1
44.39  18  0 2 2
49.71  21  4 -2 1
50.38  24  3 -1 2
65.42  18  4 1 1

Cell and atoms:
Cell lengths 7.8626, 7.8626, 5.0996 Å; angles 90.00, 90.00, 120.00 degrees
Space group P-3 (No. 147)
One atom of each set of equivalent atoms:
Cs (0.3333, 0.6667, 0.3789)
Sn (0.0000, 0.0000, 0.5000)
H (0.0123, 0.7282, 0.9999)
O (0.0609, 0.7114, 0.8215)
O (0.0842, 0.2583, 0.7292)

---

Diffraction record for Y2Sn5Rh3. The powder diffractogram is calculated, not measured: it uses a PBE-relaxed structure and a wavelength of 1.5418 Å.

Most intense lines, 10° ≤ 2θ ≤ 90°, low angle first:
two_theta  I/Imax  index
32.00  8  1 1 2
33.39  100  1 3 2
35.95  13  0 10 1
36.45  14  1 9 0
39.70  11  0 4 3
40.43  32  2 0 0
42.51  8  1 11 0
43.83  11  1 3 3
44.45  21  1 9 2
55.20  8  2 10 1
63.07  12  1 13 3
68.99  10  3 7 1

Cell and atoms:
Cell lengths 4.4625, 26.6093, 7.2456 Å; angles 90.00, 90.00, 90.00 degrees
Space group Cmc2_1 (No. 36)
One atom of each set of equivalent atoms:
Y (0.0000, 0.0235, 0.0000)
Y (0.0000, 0.3282, 0.0194)
Sn (0.0000, 0.0967, 0.3718)
Sn (0.0000, 0.2050, 0.8114)
Sn (0.0000, 0.2098, 0.2398)
Sn (0.0000, 0.3797, 0.4962)
Sn (0.0000, 0.4524, 0.1645)
Rh (0.0000, 0.1060, 0.7449)
Rh (0.0000, 0.2772, 0.5276)
Rh (0.0000, 0.4499, 0.7801)

---

Diffraction record for Sb2O5. The powder diffractogram is calculated, not measured: it uses a PBE-relaxed structure and a wavelength of 1.5418 Å.

Most intense lines, 10° ≤ 2θ ≤ 90°, low angle first:
two_theta  I/Imax  index
13.65  41  0 2 0
23.16  100  0 0 1
23.44  83  1 1 0
27.50  43  0 4 0
30.57  66  1 3 0
33.19  39  1 1 1
36.25  24  0 4 1
38.70  35  1 3 1
45.71  24  2 0 0
54.66  23  1 7 0
57.41  22  1 3 2
60.14  23  1 7 1

Cell and atoms:
Cell lengths 3.9694, 12.9722, 3.8405 Å; angles 90.00, 90.00, 90.00 degrees
Space group Pmmn (No. 59, origin choice 2)
One atom of each set of equivalent atoms:
Sb (0.2500, 0.1020, 0.0079)
O (0.2500, 0.0964, 0.5085)
O (0.2500, 0.2500, 0.0316)
O (0.2500, 0.5621, 0.9952)

---

Diffraction record for K2Ca2C2O3F2. The powder diffractogram is calculated, not measured: it uses a PBE-relaxed structure and a wavelength of 1.5418 Å.

Most intense lines, 10° ≤ 2θ ≤ 90°, low angle first:
two_theta  I/Imax  index
20.98  46  0 2 1
28.61  100  2 2 1
29.17  44  2 0 2
36.30  28  0 4 0
37.66  81  0 2 3
39.03  53  4 0 0
42.70  20  0 4 2
47.23  32  2 4 2
48.70  15  2 0 4
54.35  15  4 4 0
55.36  44  4 2 3
59.22  12  4 4 2

Cell and atoms:
Cell lengths 9.2315, 9.8995, 8.1798 Å; angles 90.00, 90.00, 90.00 degrees
Space group Cmc2_1 (No. 36)
One atom of each set of equivalent atoms:
K (0.2480, 0.1247, 0.0000)
Ca (0.0000, 0.1363, 0.6677)
Ca (0.0000, 0.3807, 0.1658)
C (0.0000, 0.1246, 0.3054)
C (0.0000, 0.3513, 0.8177)
O (0.0000, 0.0130, 0.3935)
O (0.0000, 0.2356, 0.3936)
O (0.0000, 0.4688, 0.8943)
F (0.2469, 0.3784, 0.1568)

---

Diffraction record for Na3P6Pb2O18. The powder diffractogram is calculated, not measured: it uses a PBE-relaxed structure and a wavelength of 1.5418 Å.

Most intense lines, 10° ≤ 2θ ≤ 90°, low angle first:
two_theta  I/Imax  index
12.00  52  1 0 0
12.55  52  0 0 1
12.85  60  0 1 -1
13.18  27  0 1 0
19.91  100  1 1 0
22.61  77  1 1 -2
26.81  53  2 1 -1
27.35  62  -2 1 1
28.70  40  1 1 1
29.20  54  1 -2 2
31.43  29  2 -2 0
32.55  34  1 1 -3

Cell and atoms:
Cell lengths 7.7912, 7.8086, 8.3641 Å; angles 117.63, 102.82, 96.00 degrees
Space group P-1 (No. 2)
One atom of each set of equivalent atoms:
Na (0.0000, 0.0000, 0.0000)
Na (0.3277, 0.1514, 0.4690)
P (0.0118, 0.7219, 0.2759)
P (0.2588, 0.8396, 0.6493)
P (0.2653, 0.4850, 0.3135)
Pb (0.3964, 0.6841, 0.0320)
O (0.0679, 0.8217, 0.5061)
O (0.0741, 0.5126, 0.2144)
O (0.1198, 0.8478, 0.2236)
O (0.1919, 0.3326, 0.7949)
O (0.2292, 0.8757, 0.8311)
O (0.2446, 0.2715, 0.2573)
O (0.2825, 0.6116, 0.5374)
O (0.4101, 0.9786, 0.6499)
O (0.4172, 0.5884, 0.2790)